(1)
WCl4: theoretical powder diffraction line list (Cu Kα (weighted mean of Kα1 and Kα2)), based on a structure optimized by DFT (GGA-PBE).
Intensities are scaled so that the largest is 100.

Cell and atoms:
Unit cell a=7.0862 b=7.0862 c=8.5140 alpha=125.50 beta=125.50 gamma=54.78
Fractional positions:
1 W 0.2047 0.7953 0.0000
2 W 0.7953 0.2047 0.0000
3 Cl 0.2058 0.2058 0.1786
4 Cl 0.2155 0.7415 0.7101
5 Cl 0.2585 0.7845 0.2899
6 Cl 0.3282 0.3282 0.8509
7 Cl 0.6718 0.6718 0.1491
8 Cl 0.7415 0.2155 0.7101
9 Cl 0.7845 0.2585 0.2899
10 Cl 0.7942 0.7942 0.8214

Main lines, in order of rising 2θ (2θ from 5° to 70°):
2θ = 13.75°, d = 6.441 Å, I 100.0; 2θ = 14.17°, d = 6.252 Å, I 92.1; 2θ = 18.64°, d = 4.760 Å, I 50.3; 2θ = 20.88°, d = 4.255 Å, I 30.5; 2θ = 30.94°, d = 2.891 Å, I 13.6; 2θ = 32.67°, d = 2.741 Å, I 22.6; 2θ = 33.30°, d = 2.691 Å, I 54.6; 2θ = 41.32°, d = 2.185 Å, I 16.9; 2θ = 47.31°, d = 1.921 Å, I 18.3; 2θ = 50.93°, d = 1.793 Å, I 15.9

(2)
ZnCl2: theoretical powder diffraction line list (Cu Kα (weighted mean of Kα1 and Kα2)), based on a structure optimized by DFT (GGA-PBE).
Intensities are scaled so that the largest is 100.

Cell and atoms:
Unit cell a=6.7879 b=11.7867 c=14.0458 alpha=90.00 beta=116.47 gamma=90.00
Fractional positions:
1 Zn 0.1330 0.0046 0.3063
2 Zn 0.1330 0.4954 0.8063
3 Zn 0.2561 0.6843 0.4242
4 Zn 0.2561 0.8157 0.9242
5 Zn 0.3538 0.6607 0.1830
6 Zn 0.3538 0.8393 0.6830
7 Zn 0.6462 0.1607 0.3170
8 Zn 0.6462 0.3393 0.8170
9 Zn 0.7439 0.1843 0.0758
10 Zn 0.7439 0.3157 0.5758
11 Zn 0.8670 0.5046 0.1937
12 Zn 0.8670 0.9954 0.6937
13 Cl 0.0224 0.1527 0.3786
14 Cl 0.0224 0.3473 0.8786
15 Cl 0.0321 0.6589 0.8648
16 Cl 0.0321 0.8411 0.3648
17 Cl 0.0516 0.5188 0.3754
18 Cl 0.0516 0.9812 0.8754
19 Cl 0.4237 0.6797 0.6081
20 Cl 0.4237 0.8203 0.1081
21 Cl 0.4778 0.1768 0.1345
22 Cl 0.4778 0.3232 0.6345
23 Cl 0.4919 0.5038 0.1350
24 Cl 0.4919 0.9962 0.6350
25 Cl 0.5081 0.0038 0.3650
26 Cl 0.5081 0.4962 0.8650
27 Cl 0.5222 0.6768 0.3655
28 Cl 0.5222 0.8232 0.8655
29 Cl 0.5763 0.1797 0.8919
30 Cl 0.5763 0.3203 0.3919
31 Cl 0.9484 0.0188 0.1246
32 Cl 0.9484 0.4812 0.6246
33 Cl 0.9679 0.1589 0.6352
34 Cl 0.9679 0.3411 0.1352
35 Cl 0.9776 0.6527 0.1214
36 Cl 0.9776 0.8473 0.6214

Main lines, in order of rising 2θ (2θ from 5° to 70°):
2θ = 16.41°, d = 5.401 Å, I 71.5; 2θ = 16.61°, d = 5.336 Å, I 41.0; 2θ = 21.01°, d = 4.229 Å, I 18.6; 2θ = 22.52°, d = 3.949 Å, I 29.4; 2θ = 26.24°, d = 3.397 Å, I 100.0; 2θ = 28.39°, d = 3.143 Å, I 32.6; 2θ = 39.45°, d = 2.284 Å, I 15.1; 2θ = 46.21°, d = 1.964 Å, I 21.7; 2θ = 46.34°, d = 1.959 Å, I 47.6; 2θ = 51.72°, d = 1.767 Å, I 20.1

(3)
ZnCl2: theoretical powder diffraction line list (Cu Kα (weighted mean of Kα1 and Kα2)), based on a structure optimized by DFT (GGA-PBE).
Intensities are scaled so that the largest is 100.

Cell and atoms:
Unit cell a=3.7156 b=3.7156 c=11.9312 alpha=90.00 beta=90.00 gamma=90.00
Fractional positions:
1 Zn 0.2500 0.7500 0.2500
2 Zn 0.7500 0.2500 0.7500
3 Cl 0.2500 0.2500 0.1351
4 Cl 0.2500 0.2500 0.6351
5 Cl 0.7500 0.7500 0.3649
6 Cl 0.7500 0.7500 0.8649

Main lines, in order of rising 2θ (2θ from 5° to 70°):
2θ = 14.85°, d = 5.966 Å, I 100.0; 2θ = 25.10°, d = 3.548 Å, I 89.9; 2θ = 28.30°, d = 3.154 Å, I 69.5; 2θ = 32.99°, d = 2.715 Å, I 44.4; 2θ = 37.40°, d = 2.404 Å, I 24.1; 2θ = 45.16°, d = 2.008 Å, I 18.1; 2θ = 46.04°, d = 1.972 Å, I 62.6; 2θ = 49.03°, d = 1.858 Å, I 26.4; 2θ = 51.52°, d = 1.774 Å, I 15.1; 2θ = 55.86°, d = 1.646 Å, I 18.6

(4)
ZnCl3: theoretical powder diffraction line list (Cu Kα (weighted mean of Kα1 and Kα2)), based on a structure optimized by DFT (GGA-PBE).
Intensities are scaled so that the largest is 100.

Cell and atoms:
Unit cell a=9.8057 b=9.8057 c=2.9096 alpha=90.00 beta=90.00 gamma=120.00
Fractional positions:
1 Zn 0.3333 0.6667 0.2500
2 Zn 0.6667 0.3333 0.7500
3 Cl 0.1625 0.4435 0.7500
4 Cl 0.2810 0.8375 0.7500
5 Cl 0.4435 0.2810 0.2500
6 Cl 0.5565 0.7190 0.7500
7 Cl 0.7190 0.1625 0.2500
8 Cl 0.8375 0.5565 0.2500

Main lines, in order of rising 2θ (2θ from 5° to 70°):
2θ = 10.42°, d = 8.492 Å, I 100.0; 2θ = 18.09°, d = 4.903 Å, I 32.9; 2θ = 20.92°, d = 4.246 Å, I 20.7; 2θ = 27.80°, d = 3.210 Å, I 20.4; 2θ = 37.47°, d = 2.400 Å, I 27.4; 2θ = 38.21°, d = 2.355 Å, I 8.4; 2θ = 41.91°, d = 2.156 Å, I 28.3; 2θ = 49.17°, d = 1.853 Å, I 16.9; 2θ = 49.81°, d = 1.831 Å, I 19.2; 2θ = 69.60°, d = 1.351 Å, I 5.3

(5)
ZnCl2: theoretical powder diffraction line list (Cu Kα (weighted mean of Kα1 and Kα2)), based on a structure optimized by DFT (GGA-PBE).
Intensities are scaled so that the largest is 100.

Cell and atoms:
Unit cell a=6.5175 b=6.5175 c=6.5175 alpha=128.64 beta=128.64 gamma=75.58
Fractional positions:
1 Zn 0.0000 0.0000 0.0000
2 Zn 0.7500 0.2500 0.5000
3 Cl 0.1024 0.6250 0.9774
4 Cl 0.3750 0.3524 0.4774
5 Cl 0.6476 0.1250 0.0226
6 Cl 0.8750 0.8976 0.5226

Main lines, in order of rising 2θ (2θ from 5° to 70°):
2θ = 17.91°, d = 4.952 Å, I 91.1; 2θ = 28.28°, d = 3.156 Å, I 100.0; 2θ = 30.47°, d = 2.934 Å, I 16.3; 2θ = 36.63°, d = 2.453 Å, I 20.8; 2θ = 44.53°, d = 2.035 Å, I 17.2; 2θ = 45.42°, d = 1.997 Å, I 23.9; 2θ = 47.80°, d = 1.903 Å, I 41.3; 2θ = 54.37°, d = 1.688 Å, I 26.5; 2θ = 58.52°, d = 1.577 Å, I 10.9; 2θ = 59.71°, d = 1.549 Å, I 9.1

(6)
ZnCl2: theoretical powder diffraction line list (Cu Kα (weighted mean of Kα1 and Kα2)), based on a structure optimized by DFT (GGA-PBE).
Intensities are scaled so that the largest is 100.

Cell and atoms:
Unit cell a=6.5759 b=8.0950 c=6.3577 alpha=90.00 beta=90.00 gamma=90.00
Fractional positions:
1 Zn 0.0765 0.1249 0.0000
2 Zn 0.4235 0.6249 0.5000
3 Zn 0.5765 0.3751 0.0000
4 Zn 0.9235 0.8751 0.5000
5 Cl 0.0631 0.1124 0.6376
6 Cl 0.0907 0.6408 0.6112
7 Cl 0.4093 0.1408 0.1112
8 Cl 0.4369 0.6124 0.1376
9 Cl 0.5631 0.3876 0.6376
10 Cl 0.5907 0.8592 0.6112
11 Cl 0.9093 0.3592 0.1112
12 Cl 0.9369 0.8876 0.1376

Main lines, in order of rising 2θ (2θ from 5° to 70°):
2θ = 17.37°, d = 5.104 Å, I 84.8; 2θ = 17.74°, d = 5.000 Å, I 100.0; 2θ = 25.85°, d = 3.447 Å, I 55.9; 2θ = 27.12°, d = 3.288 Å, I 37.4; 2θ = 28.07°, d = 3.179 Å, I 52.8; 2θ = 29.48°, d = 3.030 Å, I 41.8; 2θ = 44.78°, d = 2.024 Å, I 25.1; 2θ = 47.15°, d = 1.927 Å, I 42.6; 2θ = 50.56°, d = 1.805 Å, I 46.3; 2θ = 55.78°, d = 1.648 Å, I 24.8

(7)
ZrCl: theoretical powder diffraction line list (Cu Kα (weighted mean of Kα1 and Kα2)), based on a structure optimized by DFT (GGA-PBE).
Intensities are scaled so that the largest is 100.

Cell and atoms:
Unit cell a=10.0560 b=10.0560 c=10.0560 alpha=19.78 beta=19.78 gamma=19.78
Fractional positions:
1 Zr 0.1266 0.1266 0.1266
2 Zr 0.8734 0.8734 0.8734
3 Cl 0.4008 0.4008 0.4008
4 Cl 0.5992 0.5992 0.5992

Main lines, in order of rising 2θ (2θ from 5° to 70°):
2θ = 8.97°, d = 9.856 Å, I 100.0; 2θ = 30.03°, d = 2.976 Å, I 7.2; 2θ = 32.29°, d = 2.773 Å, I 69.4; 2θ = 36.82°, d = 2.441 Å, I 22.1; 2θ = 38.73°, d = 2.325 Å, I 29.4; 2θ = 45.36°, d = 1.999 Å, I 18.2; 2θ = 53.03°, d = 1.727 Å, I 17.7; 2θ = 53.90°, d = 1.701 Å, I 7.1; 2θ = 63.46°, d = 1.466 Å, I 8.9; 2θ = 66.07°, d = 1.414 Å, I 7.2

(8)
ZrCl3: theoretical powder diffraction line list (Cu Kα (weighted mean of Kα1 and Kα2)), based on a structure optimized by DFT (GGA-PBE).
Intensities are scaled so that the largest is 100.

Cell and atoms:
Unit cell a=6.2782 b=6.2911 c=7.5721 alpha=89.93 beta=65.86 gamma=61.71
Fractional positions:
1 Zr 0.1430 0.1421 0.0000
2 Zr 0.8570 0.8579 0.0000
3 Cl 0.0056 0.5728 0.2124
4 Cl 0.3233 0.7606 0.7496
5 Cl 0.3545 0.9254 0.2149
6 Cl 0.6455 0.0746 0.7851
7 Cl 0.6767 0.2394 0.2504
8 Cl 0.9944 0.4272 0.7876

Main lines, in order of rising 2θ (2θ from 5° to 70°):
2θ = 13.20°, d = 6.708 Å, I 100.0; 2θ = 16.48°, d = 5.378 Å, I 18.3; 2θ = 16.74°, d = 5.294 Å, I 20.4; 2θ = 18.51°, d = 4.794 Å, I 14.9; 2θ = 31.19°, d = 2.867 Å, I 59.1; 2θ = 31.31°, d = 2.857 Å, I 28.8; 2θ = 38.93°, d = 2.314 Å, I 16.6; 2θ = 39.05°, d = 2.307 Å, I 13.5; 2θ = 39.39°, d = 2.288 Å, I 15.1; 2θ = 50.46°, d = 1.809 Å, I 16.1

(9)
ZrCl: theoretical powder diffraction line list (Cu Kα (weighted mean of Kα1 and Kα2)), based on a structure optimized by DFT (GGA-PBE).
Intensities are scaled so that the largest is 100.

Cell and atoms:
Unit cell a=3.3617 b=3.3617 c=9.6156 alpha=90.00 beta=90.00 gamma=120.00
Fractional positions:
1 Zr 0.3333 0.6667 0.3689
2 Zr 0.6667 0.3333 0.6311
3 Cl 0.3333 0.6667 0.8193
4 Cl 0.6667 0.3333 0.1807

Main lines, in order of rising 2θ (2θ from 5° to 70°):
2θ = 9.20°, d = 9.616 Å, I 86.4; 2θ = 30.71°, d = 2.911 Å, I 29.6; 2θ = 32.12°, d = 2.786 Å, I 19.1; 2θ = 36.07°, d = 2.490 Å, I 100.0; 2θ = 37.41°, d = 2.404 Å, I 13.1; 2θ = 41.92°, d = 2.155 Å, I 22.1; 2θ = 49.15°, d = 1.854 Å, I 14.9; 2θ = 54.60°, d = 1.681 Å, I 21.2; 2θ = 67.19°, d = 1.393 Å, I 14.7; 2θ = 68.06°, d = 1.378 Å, I 12.7

(10)
ZrCl3: theoretical powder diffraction line list (Cu Kα (weighted mean of Kα1 and Kα2)), based on a structure optimized by DFT (GGA-PBE).
Intensities are scaled so that the largest is 100.

Cell and atoms:
Unit cell a=7.4707 b=7.4707 c=7.4707 alpha=49.57 beta=49.57 gamma=49.57
Fractional positions:
1 Zr 0.1667 0.1667 0.1667
2 Zr 0.8333 0.8333 0.8333
3 Cl 0.0832 0.4227 0.7615
4 Cl 0.2385 0.9168 0.5773
5 Cl 0.4227 0.7615 0.0832
6 Cl 0.5773 0.2385 0.9168
7 Cl 0.7615 0.0832 0.4227
8 Cl 0.9168 0.5773 0.2385

Main lines, in order of rising 2θ (2θ from 5° to 70°):
2θ = 13.54°, d = 6.537 Å, I 91.0; 2θ = 16.96°, d = 5.228 Å, I 34.7; 2θ = 18.70°, d = 4.746 Å, I 26.8; 2θ = 31.68°, d = 2.824 Å, I 100.0; 2θ = 39.87°, d = 2.261 Å, I 68.0; 2θ = 50.48°, d = 1.808 Å, I 29.7; 2θ = 51.06°, d = 1.789 Å, I 28.7; 2θ = 52.51°, d = 1.743 Å, I 15.3; 2θ = 60.83°, d = 1.523 Å, I 13.2; 2θ = 66.18°, d = 1.412 Å, I 13.8

(11)
ZrCl3: theoretical powder diffraction line list (Cu Kα (weighted mean of Kα1 and Kα2)), based on a structure optimized by DFT (GGA-PBE).
Intensities are scaled so that the largest is 100.

Cell and atoms:
Unit cell a=6.3264 b=6.3264 c=7.0189 alpha=90.06 beta=90.06 gamma=121.73
Fractional positions:
1 Zr 0.1804 0.8196 0.0000
2 Zr 0.8196 0.1804 0.0000
3 Cl 0.1606 0.5020 0.7726
4 Cl 0.1622 0.1622 0.1920
5 Cl 0.4980 0.8394 0.2274
6 Cl 0.5020 0.1606 0.7726
7 Cl 0.8378 0.8378 0.8080
8 Cl 0.8394 0.4980 0.2274

Main lines, in order of rising 2θ (2θ from 5° to 70°):
2θ = 12.61°, d = 7.019 Å, I 100.0; 2θ = 16.04°, d = 5.526 Å, I 16.7; 2θ = 16.47°, d = 5.381 Å, I 13.7; 2θ = 20.80°, d = 4.270 Å, I 17.7; 2θ = 31.03°, d = 2.882 Å, I 47.3; 2θ = 31.70°, d = 2.822 Å, I 23.2; 2θ = 38.33°, d = 2.348 Å, I 36.3; 2θ = 38.88°, d = 2.316 Å, I 18.3; 2θ = 48.38°, d = 1.882 Å, I 17.1; 2θ = 50.91°, d = 1.794 Å, I 14.1

(12)
Zr3Cl: theoretical powder diffraction line list (Cu Kα (weighted mean of Kα1 and Kα2)), based on a structure optimized by DFT (GGA-PBE).
Intensities are scaled so that the largest is 100.

Cell and atoms:
Unit cell a=6.1073 b=6.1073 c=5.3892 alpha=90.00 beta=90.00 gamma=120.00
Fractional positions:
1 Zr 0.1622 0.3244 0.2500
2 Zr 0.1622 0.8378 0.2500
3 Zr 0.3244 0.1622 0.7500
4 Zr 0.6756 0.8378 0.2500
5 Zr 0.8378 0.1622 0.7500
6 Zr 0.8378 0.6756 0.7500
7 Cl 0.3333 0.6667 0.7500
8 Cl 0.6667 0.3333 0.2500

Main lines, in order of rising 2θ (2θ from 5° to 70°):
2θ = 16.76°, d = 5.289 Å, I 7.3; 2θ = 23.57°, d = 3.775 Å, I 8.9; 2θ = 29.25°, d = 3.054 Å, I 4.3; 2θ = 33.25°, d = 2.695 Å, I 32.4; 2θ = 33.90°, d = 2.645 Å, I 22.9; 2θ = 37.90°, d = 2.374 Å, I 100.0; 2θ = 48.22°, d = 1.887 Å, I 16.3; 2θ = 48.57°, d = 1.874 Å, I 5.0; 2θ = 60.65°, d = 1.527 Å, I 15.7; 2θ = 62.50°, d = 1.486 Å, I 21.7

(13)
ZrCl3: theoretical powder diffraction line list (Cu Kα (weighted mean of Kα1 and Kα2)), based on a structure optimized by DFT (GGA-PBE).
Intensities are scaled so that the largest is 100.

Cell and atoms:
Unit cell a=13.5204 b=13.5204 c=6.9086 alpha=104.31 beta=104.31 gamma=59.75
Fractional positions:
1 Zr 0.0859 0.0859 0.0000
2 Zr 0.0856 0.3289 0.0010
3 Zr 0.3289 0.0856 0.0010
4 Zr 0.6711 0.9144 0.9990
5 Zr 0.9144 0.6711 0.9990
6 Zr 0.9141 0.9141 0.0000
7 Cl 0.0116 0.2745 0.2430
8 Cl 0.0206 0.0206 0.2459
9 Cl 0.0217 0.5210 0.2477
10 Cl 0.0282 0.7666 0.2442
11 Cl 0.2334 0.9718 0.7558
12 Cl 0.2336 0.2336 0.7584
13 Cl 0.2735 0.2735 0.2478
14 Cl 0.2745 0.0116 0.2430
15 Cl 0.4790 0.9783 0.7523
16 Cl 0.5210 0.0217 0.2477
17 Cl 0.7255 0.9884 0.7570
18 Cl 0.7265 0.7265 0.7522
19 Cl 0.7664 0.7664 0.2416
20 Cl 0.7666 0.0282 0.2442
21 Cl 0.9718 0.2334 0.7558
22 Cl 0.9783 0.4790 0.7523
23 Cl 0.9794 0.9794 0.7541
24 Cl 0.9884 0.7255 0.7570

Main lines, in order of rising 2θ (2θ from 5° to 70°):
2θ = 7.65°, d = 11.553 Å, I 100.0; 2θ = 7.87°, d = 11.237 Å, I 45.9; 2θ = 13.15°, d = 6.735 Å, I 4.9; 2θ = 13.39°, d = 6.614 Å, I 30.7; 2θ = 13.52°, d = 6.547 Å, I 9.1; 2θ = 14.41°, d = 6.147 Å, I 9.0; 2θ = 23.09°, d = 3.851 Å, I 6.4; 2θ = 34.99°, d = 2.564 Å, I 9.0; 2θ = 38.22°, d = 2.355 Å, I 10.1; 2θ = 43.29°, d = 2.090 Å, I 5.1

(14)
ZrCl3: theoretical powder diffraction line list (Cu Kα (weighted mean of Kα1 and Kα2)), based on a structure optimized by DFT (GGA-PBE).
Intensities are scaled so that the largest is 100.

Cell and atoms:
Unit cell a=6.9637 b=6.9637 c=6.0982 alpha=90.00 beta=90.00 gamma=120.00
Fractional positions:
1 Zr 0.0000 0.0000 0.0000
2 Zr 0.0000 0.0000 0.5000
3 Cl 0.0000 0.2963 0.2500
4 Cl 0.0000 0.7037 0.7500
5 Cl 0.2963 0.0000 0.2500
6 Cl 0.2963 0.2963 0.7500
7 Cl 0.7037 0.0000 0.7500
8 Cl 0.7037 0.7037 0.2500

Main lines, in order of rising 2θ (2θ from 5° to 70°):
2θ = 14.69°, d = 6.031 Å, I 100.0; 2θ = 29.56°, d = 3.022 Å, I 31.7; 2θ = 32.92°, d = 2.721 Å, I 13.7; 2θ = 39.28°, d = 2.294 Å, I 27.9; 2θ = 39.54°, d = 2.279 Å, I 8.8; 2θ = 42.15°, d = 2.144 Å, I 15.2; 2θ = 45.10°, d = 2.010 Å, I 14.8; 2θ = 49.96°, d = 1.826 Å, I 14.9; 2θ = 54.88°, d = 1.673 Å, I 9.8; 2θ = 61.32°, d = 1.512 Å, I 6.5